The following is a theoretical powder diffractogram of GaCl3F4. It was derived from a cell relaxed with GGA-PBE, using Cu Kα (weighted mean of Kα1 and Kα2).
Kinematic intensities with the Lorentz-polarization factor, no thermal factor.

Peak list (10 most intense, 15 to 90 degrees two-theta, low angle first)
(0 2 -1), 2θ = 21.9°, I 69.7
(1 -1 0), 2θ = 25.3°, I 100.0
(1 1 -1), 2θ = 25.7°, I 57.1
(1 1 0), 2θ = 26.0°, I 45.6
(0 1 2), 2θ = 26.4°, I 94.3
(0 1 -3), 2θ = 27.7°, I 99.7
(1 -2 2), 2θ = 34.2°, I 24.9
(0 1 3), 2θ = 35.9°, I 23.4
(0 4 1), 2θ = 52.7°, I 29.2
(0 5 -2), 2θ = 56.5°, I 24.1

Structural model:
a = 3.913 Å, b = 8.149 Å, c = 9.680 Å
α = 111.10°, β = 93.49°, γ = 90.53°
Fractional positions:
Ga: 0.027 0.072 0.177
Ga: 0.973 0.928 0.823
Cl: 0.296 0.249 0.630
Cl: 0.354 0.598 0.999
Cl: 0.412 0.549 0.363
Cl: 0.588 0.451 0.637
Cl: 0.646 0.402 0.001
Cl: 0.704 0.751 0.370
F: 0.005 0.151 0.003
F: 0.047 0.301 0.315
F: 0.051 0.953 0.308
F: 0.474 0.931 0.833
F: 0.526 0.069 0.167
F: 0.949 0.047 0.692
F: 0.953 0.699 0.685
F: 0.995 0.849 0.997